Computed powder diffraction line list of CoReRu2 for Cu Ka, from a DFT-relaxed cell (GGA-PBE, Alexandria).
Lines closer than 0.1° are merged.

Principal peaks in the range 2θ from 10° to 90°, most intense first:
Position (°2θ), d_spacing, I/Imax
41.42, 2.180, 100
41.56, 2.173, 97
48.14, 1.890, 63
70.80, 1.331, 39
48.58, 1.874, 31
85.07, 1.140, 24
85.86, 1.132, 24
85.34, 1.137, 22
23.74, 3.748, 15
29.12, 3.067, 14

Crystal structure
```
data_CoReRu2
_cell_length_a 2.6794
_cell_length_b 3.7480
_cell_length_c 5.3334
_cell_angle_alpha 90.00
_cell_angle_beta 90.00
_cell_angle_gamma 90.00
_symmetry_space_group_name_H-M 'P m m 2'
_symmetry_Int_Tables_number 25
loop_
_symmetry_equiv_pos_as_xyz
'x,y,z'
'-x,-y,z'
'-x,y,z'
'x,-y,z'
loop_
_atom_site_label
_atom_site_type_symbol
_atom_site_fract_x
_atom_site_fract_y
_atom_site_fract_z
Co1 Co 0.0000 0.0000 0.0000
Re1 Re 0.5000 0.5000 0.2343
Ru1 Ru 0.0000 0.0000 0.5031
Ru2 Ru 0.5000 0.5000 0.7633
```